Diffraction record for YReBiMo2. The powder diffractogram is theoretical, not measured: it uses the GGA-PBE geometry in Alexandria and Cu Kα (λ = 1.5418 Å).
Kinematic intensities with the Lorentz-polarization factor, no thermal factor.

Top 10 peaks for 10 to 80 degrees two-theta, by angle:
hkl 1 0 0, 18.38 deg, I = 1000; hkl 1 1 0, 26.10 deg, I = 400; hkl 1 1 1, 31.17 deg, I = 622; hkl 0 0 2, 33.84 deg, I = 593; hkl 2 0 0, 37.25 deg, I = 913; hkl 1 0 2, 38.78 deg, I = 324; hkl 2 1 0, 41.84 deg, I = 264; hkl 2 0 2, 51.20 deg, I = 731; hkl 2 2 0, 53.70 deg, I = 317; hkl 2 2 2, 65.00 deg, I = 357

```
YReBiMo2
1.0
4.8279 0.0000 0.0000
0.0000 4.8279 0.0000
0.0000 0.0000 5.2977
Y Re Bi Mo
1 1 1 2
Cartesian
0.0000 0.0000 0.0000
2.4139 2.4139 2.6489
2.4139 2.4139 0.0000
0.0000 2.4139 2.6489
2.4139 0.0000 2.6489
```